Structure and theoretical X-ray diffraction stick pattern of CsNdO2 (a PBE-relaxed structure; Cu Kα (weighted mean of Kα1 and Kα2)).

The 8 most intense peaks (2θ from 10° to 90°), by angle:
2theta	d/Å	I/Imax	index
25.7	3.469	42	0 0 4
28.5	3.127	28	1 0 1
30.7	2.913	100	1 0 2
34.0	2.637	38	1 0 3
48.5	1.876	35	1 0 6
49.2	1.853	30	1 1 0
56.3	1.634	30	1 1 4
59.1	1.563	16	2 0 2

Structure:
Cell lengths 3.7059, 3.7059, 13.8765 Å; angles 90.00, 90.00, 120.00 degrees
Space group P6_3/mmc (No. 194)
Symmetry-distinct sites (fractional):
Cs (0.3333, 0.6667, 0.2500) (multiplicity 2)
Nd (0.0000, 0.0000, 0.0000) (multiplicity 2)
O (0.3333, 0.6667, 0.5851) (multiplicity 4)

***

Structure and theoretical X-ray diffraction stick pattern of KCuTe (a PBE-relaxed structure; Cu Kα (weighted mean of Kα1 and Kα2)).

The 8 most intense peaks (2θ from 10° to 90°), by angle:
2theta	d/Å	I/Imax	index
17.5	5.079	68	0 0 2
24.6	3.619	18	1 0 1
29.0	3.080	100	1 0 2
35.3	2.539	28	0 0 4
40.3	2.236	58	1 1 0
44.3	2.047	39	1 1 2
50.4	1.810	20	2 0 2
54.7	1.678	48	1 1 4

Structure:
Cell lengths 4.4726, 4.4726, 10.1576 Å; angles 90.00, 90.00, 120.00 degrees
Space group P6_3/mmc (No. 194)
Symmetry-distinct sites (fractional):
K (0.0000, 0.0000, 0.0000) (multiplicity 2)
Cu (0.3333, 0.6667, 0.2500) (multiplicity 2)
Te (0.3333, 0.6667, 0.7500) (multiplicity 2)

***

Structure and theoretical X-ray diffraction stick pattern of Ba4LiGa5Se12 (a PBE-relaxed structure; Cu Kα (weighted mean of Kα1 and Kα2)).

The 8 most intense peaks (2θ from 10° to 90°), by angle:
2theta	d/Å	I/Imax	index
24.4	3.655	50	3 1 1
26.8	3.326	64	3 2 1
27.2	3.276	100	3 3 0
28.6	3.120	53	1 1 2
29.8	3.001	64	4 1 1
32.8	2.731	57	2 2 2
37.4	2.403	59	5 2 1
47.7	1.907	43	3 2 3

Structure:
Cell lengths 13.9009, 13.9009, 6.5802 Å; angles 90.00, 90.00, 90.00 degrees
Space group P-42_1c (No. 114)
Symmetry-distinct sites (fractional):
Ba (0.0212, 0.3031, 0.0482) (multiplicity 8)
Li (0.0000, 0.0000, 0.0000) (multiplicity 2)
Ga (0.0000, 0.0000, 0.5000) (multiplicity 2)
Ga (0.1409, 0.7541, 0.5525) (multiplicity 8)
Se (0.0135, 0.6402, 0.5461) (multiplicity 8)
Se (0.0914, 0.9007, 0.7376) (multiplicity 8)
Se (0.1966, 0.7914, 0.2090) (multiplicity 8)